Record 1
Structure and calculated XRD peak list of HfCdS (a DFT-relaxed cell (GGA-PBE, Alexandria); copper Kα).
Neutral-atom scattering factors, no anomalous dispersion.

Structure:
Lattice parameters (Å, degrees): 3.423 3.423 12.295 90.00 90.00 120.00
Element x y z (fractional)
Hf 0.000 0.000 0.000
Hf 0.333 0.667 0.500
Cd 0.333 0.667 0.193
Cd 0.333 0.667 0.807
S 0.000 0.000 0.368
S 0.000 0.000 0.632

Main lines, most intense first (10 to 90 degrees two-theta):
- 37.44 deg, I = 100
- 30.14 deg, I = 40
- 53.54 deg, I = 26
- 31.03 deg, I = 23
- 67.15 deg, I = 18
- 14.41 deg, I = 17

=====

Record 2
Structure and calculated XRD peak list of Ag6PbCl8 (a DFT-relaxed cell (GGA-PBE, Alexandria); copper Kα).
Neutral-atom scattering factors, no anomalous dispersion.

Structure:
Lattice parameters (Å, degrees): 7.253 7.253 7.253 96.40 96.40 96.40
Element x y z (fractional)
Ag 0.123 0.372 0.582
Ag 0.372 0.582 0.123
Ag 0.418 0.877 0.628
Ag 0.582 0.123 0.372
Ag 0.628 0.418 0.877
Ag 0.877 0.628 0.418
Pb 0.000 0.000 0.000
Cl 0.174 0.820 0.325
Cl 0.180 0.675 0.826
Cl 0.300 0.300 0.300
Cl 0.325 0.174 0.820
Cl 0.675 0.826 0.180
Cl 0.700 0.700 0.700
Cl 0.820 0.325 0.174
Cl 0.826 0.180 0.675

Main lines, most intense first (10 to 90 degrees two-theta):
- 29.96 deg, I = 100
- 20.59 deg, I = 49
- 26.44 deg, I = 49
- 24.11 deg, I = 48
- 51.09 deg, I = 48
- 44.32 deg, I = 39

=====

Record 3
Structure and calculated XRD peak list of Pr3Mg5Ag2 (a DFT-relaxed cell (GGA-PBE, Alexandria); copper Kα).
Neutral-atom scattering factors, no anomalous dispersion.

Structure:
Lattice parameters (Å, degrees): 10.762 10.762 4.489 90.00 90.00 90.00
Element x y z (fractional)
Pr 0.000 0.000 0.000
Pr 0.180 0.320 0.000
Pr 0.320 0.820 0.000
Pr 0.500 0.500 0.000
Pr 0.680 0.180 0.000
Pr 0.820 0.680 0.000
Mg 0.000 0.500 0.500
Mg 0.063 0.781 0.500
Mg 0.219 0.063 0.500
Mg 0.281 0.563 0.500
Mg 0.437 0.281 0.500
Mg 0.500 0.000 0.500
Mg 0.563 0.719 0.500
Mg 0.719 0.437 0.500
Mg 0.781 0.937 0.500
Mg 0.937 0.219 0.500
Ag 0.115 0.615 0.000
Ag 0.385 0.115 0.000
Ag 0.615 0.885 0.000
Ag 0.885 0.385 0.000

Main lines, most intense first (10 to 90 degrees two-theta):
- 33.03 deg, I = 100
- 19.78 deg, I = 75
- 26.18 deg, I = 53
- 36.14 deg, I = 40
- 34.36 deg, I = 35
- 30.80 deg, I = 34

=====

Record 4
Structure and calculated XRD peak list of Pa2SnN2 (a DFT-relaxed cell (GGA-PBE, Alexandria); copper Kα).
Neutral-atom scattering factors, no anomalous dispersion.

Structure:
Lattice parameters (Å, degrees): 7.498 6.594 6.079 72.42 56.96 50.62
Element x y z (fractional)
Pa 0.057 0.693 0.057
Pa 0.307 0.943 0.307
Pa 0.693 0.057 0.693
Pa 0.943 0.307 0.943
Sn 0.375 0.375 0.375
Sn 0.625 0.625 0.625
N 0.002 0.002 0.248
N 0.248 0.248 0.002
N 0.752 0.752 0.998
N 0.998 0.998 0.752

Main lines, most intense first (10 to 90 degrees two-theta):
- 30.24 deg, I = 100
- 30.87 deg, I = 82
- 38.50 deg, I = 53
- 31.96 deg, I = 39
- 48.55 deg, I = 24
- 50.87 deg, I = 24

=====

Record 5
Structure and calculated XRD peak list of Ba3In6Ag5 (a DFT-relaxed cell (GGA-PBE, Alexandria); copper Kα).
Neutral-atom scattering factors, no anomalous dispersion.

Structure:
Lattice parameters (Å, degrees): 5.024 15.012 10.153 90.00 90.00 90.00
Element x y z (fractional)
Ba 0.250 0.044 0.245
Ba 0.250 0.456 0.245
Ba 0.250 0.750 0.267
Ba 0.750 0.250 0.733
Ba 0.750 0.544 0.755
Ba 0.750 0.956 0.755
In 0.250 0.079 0.592
In 0.250 0.250 0.055
In 0.250 0.250 0.414
In 0.250 0.421 0.592
In 0.250 0.608 0.973
In 0.250 0.892 0.973
In 0.750 0.108 0.027
In 0.750 0.392 0.027
In 0.750 0.579 0.408
In 0.750 0.750 0.586
In 0.750 0.750 0.945
In 0.750 0.921 0.408
Ag 0.250 0.095 0.879
Ag 0.250 0.405 0.879
Ag 0.250 0.622 0.547
Ag 0.250 0.750 0.768
Ag 0.250 0.878 0.547
Ag 0.750 0.122 0.453
Ag 0.750 0.250 0.232
Ag 0.750 0.378 0.453
Ag 0.750 0.595 0.121
Ag 0.750 0.905 0.121

Main lines, most intense first (10 to 90 degrees two-theta):
- 30.76 deg, I = 100
- 35.74 deg, I = 71
- 31.90 deg, I = 64
- 34.10 deg, I = 47
- 31.02 deg, I = 40
- 29.60 deg, I = 35

=====

Record 6
Structure and calculated XRD peak list of Mg4AlGa (a DFT-relaxed cell (GGA-PBE, Alexandria); copper Kα).
Neutral-atom scattering factors, no anomalous dispersion.

Structure:
Lattice parameters (Å, degrees): 4.348 4.310 6.847 90.00 107.77 90.00
Element x y z (fractional)
Mg 0.000 0.000 0.000
Mg 0.162 0.500 0.317
Mg 0.329 0.000 0.655
Mg 0.830 0.500 0.662
Al 0.663 0.000 0.322
Ga 0.500 0.500 0.997

Main lines, most intense first (10 to 90 degrees two-theta):
- 35.72 deg, I = 100
- 36.04 deg, I = 97
- 41.54 deg, I = 65
- 60.50 deg, I = 41
- 41.93 deg, I = 32
- 13.58 deg, I = 28

=====

Record 7
Structure and calculated XRD peak list of Tb5ScAl4 (a DFT-relaxed cell (GGA-PBE, Alexandria); copper Kα).
Neutral-atom scattering factors, no anomalous dispersion.

Structure:
Lattice parameters (Å, degrees): 3.601 3.601 19.029 90.00 90.00 90.00
Element x y z (fractional)
Tb 0.000 0.000 0.000
Tb 0.000 0.000 0.192
Tb 0.000 0.000 0.384
Tb 0.000 0.000 0.616
Tb 0.000 0.000 0.808
Sc 0.500 0.500 0.500
Al 0.500 0.500 0.096
Al 0.500 0.500 0.289
Al 0.500 0.500 0.711
Al 0.500 0.500 0.904

Main lines, most intense first (10 to 90 degrees two-theta):
- 34.28 deg, I = 100
- 24.73 deg, I = 58
- 35.25 deg, I = 52
- 62.64 deg, I = 35
- 23.37 deg, I = 29
- 42.73 deg, I = 25

=====

Record 8
Structure and calculated XRD peak list of Nd12Cu6Sn (a DFT-relaxed cell (GGA-PBE, Alexandria); copper Kα).
Neutral-atom scattering factors, no anomalous dispersion.

Structure:
Lattice parameters (Å, degrees): 8.845 8.845 8.845 109.47 109.47 109.47
Element x y z (fractional)
Nd 0.112 0.813 0.299
Nd 0.187 0.299 0.487
Nd 0.187 0.701 0.888
Nd 0.299 0.112 0.813
Nd 0.299 0.487 0.187
Nd 0.487 0.187 0.299
Nd 0.513 0.813 0.701
Nd 0.701 0.513 0.813
Nd 0.701 0.888 0.187
Nd 0.813 0.299 0.112
Nd 0.813 0.701 0.513
Nd 0.888 0.187 0.701
Cu 0.121 0.621 0.500
Cu 0.379 0.500 0.879
Cu 0.500 0.121 0.621
Cu 0.500 0.879 0.379
Cu 0.621 0.500 0.121
Cu 0.879 0.379 0.500
Sn 0.000 0.000 0.000

Main lines, most intense first (10 to 90 degrees two-theta):
- 32.81 deg, I = 100
- 30.32 deg, I = 42
- 55.46 deg, I = 33
- 52.22 deg, I = 33
- 27.62 deg, I = 33
- 45.27 deg, I = 20

=====

Record 9
Structure and calculated XRD peak list of Y12Ni5Sn (a DFT-relaxed cell (GGA-PBE, Alexandria); copper Kα).
Neutral-atom scattering factors, no anomalous dispersion.

Structure:
Lattice parameters (Å, degrees): 8.368 8.368 8.368 111.53 109.73 107.18
Element x y z (fractional)
Y 0.020 0.212 0.808
Y 0.182 0.294 0.476
Y 0.182 0.706 0.888
Y 0.322 0.017 0.695
Y 0.322 0.627 0.305
Y 0.403 0.212 0.192
Y 0.597 0.788 0.808
Y 0.678 0.373 0.695
Y 0.678 0.983 0.305
Y 0.818 0.294 0.112
Y 0.818 0.706 0.524
Y 0.980 0.788 0.192
Ni 0.000 0.000 0.000
Ni 0.123 0.623 0.500
Ni 0.366 0.000 0.366
Ni 0.634 0.000 0.634
Ni 0.877 0.377 0.500
Sn 0.500 0.500 0.000

Main lines, most intense first (10 to 90 degrees two-theta):
- 32.12 deg, I = 100
- 34.61 deg, I = 74
- 34.40 deg, I = 69
- 35.31 deg, I = 37
- 59.92 deg, I = 33
- 35.02 deg, I = 31

=====

Record 10
Structure and calculated XRD peak list of HoPuTeSe2 (a DFT-relaxed cell (GGA-PBE, Alexandria); copper Kα).
Neutral-atom scattering factors, no anomalous dispersion.

Structure:
Lattice parameters (Å, degrees): 7.708 7.708 7.708 145.67 145.67 49.34
Element x y z (fractional)
Ho 0.000 0.000 0.000
Pu 0.263 0.263 0.000
Te 0.637 0.637 0.000
Se 0.387 0.887 0.500
Se 0.887 0.387 0.500

Main lines, most intense first (10 to 90 degrees two-theta):
- 27.37 deg, I = 100
- 39.62 deg, I = 45
- 48.82 deg, I = 42
- 37.98 deg, I = 40
- 27.73 deg, I = 33
- 30.58 deg, I = 28

=====

Record 11
Structure and calculated XRD peak list of UZnCo5As2 (a DFT-relaxed cell (GGA-PBE, Alexandria); copper Kα).
Neutral-atom scattering factors, no anomalous dispersion.

Structure:
Lattice parameters (Å, degrees): 3.695 3.695 10.292 90.00 90.00 90.00
Element x y z (fractional)
U 0.000 0.000 0.000
Zn 0.000 0.000 0.500
Co 0.000 0.500 0.347
Co 0.000 0.500 0.653
Co 0.500 0.000 0.347
Co 0.500 0.000 0.653
Co 0.500 0.500 0.000
As 0.500 0.500 0.219
As 0.500 0.500 0.781

Main lines, most intense first (10 to 90 degrees two-theta):
- 29.77 deg, I = 100
- 49.74 deg, I = 72
- 35.45 deg, I = 67
- 49.33 deg, I = 49
- 25.97 deg, I = 35
- 38.65 deg, I = 32

=====

Record 12
Structure and calculated XRD peak list of HoTm7 (a DFT-relaxed cell (GGA-PBE, Alexandria); copper Kα).
Neutral-atom scattering factors, no anomalous dispersion.

Structure:
Lattice parameters (Å, degrees): 8.564 8.564 8.564 156.60 100.91 83.86
Element x y z (fractional)
Ho 0.000 0.000 0.000
Tm 0.137 0.367 0.770
Tm 0.241 0.741 0.500
Tm 0.403 0.633 0.770
Tm 0.500 0.000 0.500
Tm 0.597 0.367 0.230
Tm 0.759 0.259 0.500
Tm 0.863 0.633 0.230

Main lines, most intense first (10 to 90 degrees two-theta):
- 32.55 deg, I = 100
- 31.33 deg, I = 74
- 33.32 deg, I = 49
- 32.85 deg, I = 46
- 47.49 deg, I = 31
- 63.32 deg, I = 31